Diffraction record for GaNiTeO6. The powder diffractogram is theoretical, not measured: it uses a cell relaxed with PBE+U and copper Kα.
Intensities are scaled so that the largest is 100.

Top 10 peaks for 10° ≤ 2θ ≤ 90°, by intensity:
2θ 28.62, I = 100, hkl 1 0 2
2θ 55.16, I = 52, hkl 1 1 4
2θ 34.95, I = 49, hkl 1 1 0
2θ 40.75, I = 33, hkl 1 1 2
2θ 20.30, I = 28, hkl 0 0 2
2θ 45.78, I = 27, hkl 2 0 2
2θ 58.86, I = 25, hkl 2 1 2
2θ 62.68, I = 22, hkl 3 0 0
2θ 22.43, I = 14, hkl 1 0 1
2θ 88.27, I = 13, hkl 4 -2 4

Cell and atoms:
abc: 5.1346 5.1346 8.7502
angles: 90.00 90.00 120.00
Space group P-31c (No. 163)
Inequivalent atoms, fractional coordinates:
Ga: 0.3333 0.6667 0.2500
Ni: 0.0000 0.0000 0.0000
Te: 0.3333 0.6667 0.7500
O: 0.0072 0.3509 0.6300